Starting from DFT lattice parameters and positions (GGA+U), the powder diffraction line list of Li3MnO2F2 was computed for λ = 1.5418 Å (Cu Kα).
No peak broadening, texture or thermal motion is included.

Structure:
a b c (Å): 5.976 5.976 9.393
angles (deg): 109.66 109.66 86.23
Positions (direct):
Li 0.014 0.264 0.776
Li 0.017 0.734 0.768
Li 0.120 0.880 0.500
Li 0.121 0.365 0.525
Li 0.264 0.014 0.276
Li 0.363 0.614 0.012
Li 0.365 0.121 0.025
Li 0.490 0.739 0.767
Li 0.614 0.363 0.512
Li 0.734 0.017 0.268
Li 0.739 0.490 0.267
Li 0.880 0.120 0.000
Mn 0.261 0.497 0.259
Mn 0.497 0.261 0.759
Mn 0.621 0.887 0.520
Mn 0.887 0.621 0.020
O 0.007 0.723 0.252
O 0.113 0.380 0.022
O 0.265 0.484 0.768
O 0.380 0.113 0.522
O 0.484 0.265 0.268
O 0.509 0.756 0.292
O 0.723 0.007 0.752
O 0.756 0.509 0.792
F 0.130 0.882 0.015
F 0.249 0.992 0.774
F 0.358 0.612 0.517
F 0.612 0.358 0.017
F 0.641 0.872 0.027
F 0.872 0.641 0.527
F 0.882 0.130 0.515
F 0.992 0.249 0.274

Top 10 peaks for 10° ≤ 2θ ≤ 90°, in order of falling intensity:
2theta  I (rel.)
15.8  100
41.4  60
43.4  51
44.4  47
23.0  47
21.9  44
24.3  41
62.3  28
63.8  25
30.7  19


Starting from DFT lattice parameters and positions (GGA+U), the powder diffraction line list of Li6Mn11O2F24 was computed for λ = 1.5418 Å (Cu Kα).
No peak broadening, texture or thermal motion is included.

Structure:
a b c (Å): 8.386 8.540 9.023
angles (deg): 109.22 107.10 90.18
Positions (direct):
Li 0.000 0.000 0.000
Li 0.118 0.521 0.301
Li 0.287 0.324 0.805
Li 0.410 0.810 0.148
Li 0.632 0.229 0.615
Li 0.792 0.637 0.515
Mn 0.190 0.711 0.737
Mn 0.236 0.147 0.397
Mn 0.414 0.818 0.538
Mn 0.428 0.309 0.220
Mn 0.575 0.039 0.915
Mn 0.576 0.644 0.804
Mn 0.714 0.427 0.056
Mn 0.832 0.224 0.317
Mn 0.858 0.782 0.217
Mn 0.988 0.057 0.637
Mn 0.992 0.539 0.915
O 0.425 0.831 0.784
O 0.939 0.560 0.129
F 0.049 0.931 0.798
F 0.073 0.347 0.386
F 0.075 0.302 0.838
F 0.161 0.720 0.491
F 0.203 0.715 0.984
F 0.213 0.132 0.150
F 0.226 0.118 0.619
F 0.327 0.527 0.263
F 0.342 0.496 0.741
F 0.361 0.919 0.349
F 0.465 0.285 0.456
F 0.472 0.287 0.977
F 0.579 0.087 0.172
F 0.594 0.054 0.689
F 0.596 0.676 0.087
F 0.602 0.661 0.581
F 0.700 0.435 0.302
F 0.703 0.428 0.809
F 0.812 0.189 0.528
F 0.813 0.182 0.050
F 0.817 0.819 0.971
F 0.835 0.831 0.455
F 0.954 0.574 0.683
F 0.983 0.019 0.306

Top 10 peaks for 10° ≤ 2θ ≤ 90°, in order of falling intensity:
2theta  I (rel.)
18.1  100
42.9  80
40.1  78
12.9  65
21.6  61
29.8  59
18.2  58
38.4  56
33.9  36
58.0  31